1.
This entry pairs a crystal structure of AcMg2Pt2 with its simulated PXRD pattern. Radiation: Cu Kα. Structure: a crystal structure in OQMD, relaxed with PBE.
Lines closer than 0.1° are merged.

Largest 6 diffraction maxima, sorted by position, 10 to 80 degrees two-theta:
2θ/deg	d (Å)	I/Imax
14.1	6.277	23.3
30.1	2.967	100.0
33.4	2.684	26.4
41.9	2.155	47.0
43.1	2.100	25.2
61.7	1.504	27.6

Structural model:
Lattice parameters (Å, degrees): 6.9444 6.9444 6.9444 144.80 144.80 50.64
Element x y z (fractional)
Ac 0.0000 0.0000 0.0000
Mg 0.2500 0.7500 0.5000
Mg 0.7500 0.2500 0.5000
Pt 0.3880 0.3880 0.0000
Pt 0.6120 0.6120 0.0000


2.
This entry pairs a crystal structure of AcTmNO with its simulated PXRD pattern. Radiation: Cu Kα. Structure: a crystal structure in OQMD, relaxed with PBE.
Lines closer than 0.1° are merged.

Largest 6 diffraction maxima, sorted by position, 10 to 80 degrees two-theta:
2θ/deg	d (Å)	I/Imax
25.6	3.476	21.8
29.9	2.985	100.0
30.6	2.923	25.3
40.3	2.236	18.0
54.0	1.699	22.4
55.6	1.652	18.6

Structural model:
Lattice parameters (Å, degrees): 4.0193 6.9260 5.8456 90.00 90.00 90.00
Element x y z (fractional)
Ac 0.0000 0.1627 0.0000
Ac 0.0000 0.8373 0.5000
Tm 0.5000 0.3238 0.5126
Tm 0.5000 0.6762 0.0126
N 0.0000 0.1881 0.4632
N 0.0000 0.8119 0.9632
O 0.5000 0.3875 0.8734
O 0.5000 0.6125 0.3734


3.
This entry pairs a crystal structure of Ac3TcN5 with its simulated PXRD pattern. Radiation: Cu Kα. Structure: a crystal structure in OQMD, relaxed with PBE.
Lines closer than 0.1° are merged.

Largest 6 diffraction maxima, sorted by position, 10 to 80 degrees two-theta:
2θ/deg	d (Å)	I/Imax
29.0	3.083	54.5
29.2	3.059	100.0
30.1	2.965	39.1
35.6	2.524	22.9
36.2	2.484	46.0
53.0	1.729	20.8

Structural model:
Lattice parameters (Å, degrees): 7.7877 7.7877 7.7877 125.43 125.43 80.83
Element x y z (fractional)
Ac 0.1755 0.6755 0.8510
Ac 0.2500 0.2500 0.0000
Ac 0.3245 0.1755 0.5000
Ac 0.6755 0.8245 0.5000
Ac 0.7500 0.7500 0.0000
Ac 0.8245 0.3245 0.1490
Tc 0.2500 0.7500 0.5000
Tc 0.7500 0.2500 0.5000
N 0.0000 0.0000 0.0000
N 0.0095 0.7985 0.5000
N 0.2015 0.7015 0.2110
N 0.2985 0.5095 0.5000
N 0.4905 0.9905 0.7890
N 0.5000 0.5000 0.0000
N 0.5095 0.0095 0.2110
N 0.7015 0.4905 0.5000
N 0.7985 0.2985 0.7890
N 0.9905 0.2015 0.5000


4.
This entry pairs a crystal structure of Ac3W2N6 with its simulated PXRD pattern. Radiation: Cu Kα. Structure: a crystal structure in OQMD, relaxed with PBE.
Lines closer than 0.1° are merged.

Largest 6 diffraction maxima, sorted by position, 10 to 80 degrees two-theta:
2θ/deg	d (Å)	I/Imax
30.8	2.902	100.0
31.2	2.869	56.1
44.7	2.029	25.8
54.6	1.682	13.6
55.2	1.663	40.4
73.8	1.283	10.1

Structural model:
Lattice parameters (Å, degrees): 10.7713 10.7713 10.7713 158.28 158.28 30.90
Element x y z (fractional)
Ac 0.0000 0.0000 0.0000
Ac 0.1818 0.1818 0.0000
Ac 0.8182 0.8182 0.0000
W 0.4016 0.4016 0.0000
W 0.5984 0.5984 0.0000
N 0.0887 0.5887 0.5000
N 0.3067 0.3067 0.0000
N 0.4113 0.9113 0.5000
N 0.5887 0.0887 0.5000
N 0.6933 0.6933 0.0000
N 0.9113 0.4113 0.5000


5.
This entry pairs a crystal structure of NaAcRe with its simulated PXRD pattern. Radiation: Cu Kα. Structure: a crystal structure in OQMD, relaxed with PBE.
Lines closer than 0.1° are merged.

Largest 6 diffraction maxima, sorted by position, 10 to 80 degrees two-theta:
2θ/deg	d (Å)	I/Imax
25.7	3.468	97.3
36.6	2.452	100.0
45.3	2.002	29.3
52.8	1.734	17.8
59.6	1.551	39.6
66.0	1.416	36.6

Structural model:
Lattice parameters (Å, degrees): 4.9040 4.9040 4.9040 60.00 60.00 60.00
Element x y z (fractional)
Na 0.0000 0.0000 0.0000
Ac 0.7500 0.7500 0.7500
Re 0.2500 0.2500 0.2500


6.
This entry pairs a crystal structure of AcNb2O7 with its simulated PXRD pattern. Radiation: Cu Kα. Structure: a crystal structure in OQMD, relaxed with PBE.
Lines closer than 0.1° are merged.

Largest 6 diffraction maxima, sorted by position, 10 to 80 degrees two-theta:
2θ/deg	d (Å)	I/Imax
16.5	5.387	32.4
28.3	3.158	100.0
28.7	3.113	43.8
29.5	3.025	49.2
40.7	2.216	32.7
52.1	1.755	26.4

Structural model:
Lattice parameters (Å, degrees): 6.0573 6.0573 3.8997 90.00 90.00 117.22
Element x y z (fractional)
Ac 0.0000 0.0000 0.0000
Nb 0.3025 0.6975 0.5000
Nb 0.6975 0.3025 0.5000
O 0.0597 0.3262 0.5000
O 0.2794 0.7206 0.0000
O 0.3262 0.0597 0.5000
O 0.5000 0.5000 0.5000
O 0.6738 0.9403 0.5000
O 0.7206 0.2794 0.0000
O 0.9403 0.6738 0.5000


7.
This entry pairs a crystal structure of AcNbO3 with its simulated PXRD pattern. Radiation: Cu Kα. Structure: a crystal structure in OQMD, relaxed with PBE.
Lines closer than 0.1° are merged.

Largest 6 diffraction maxima, sorted by position, 10 to 80 degrees two-theta:
2θ/deg	d (Å)	I/Imax
19.8	4.495	34.7
28.7	3.109	100.0
33.0	2.713	48.4
33.2	2.695	91.5
44.5	2.036	40.1
60.7	1.526	33.8

Structural model:
Lattice parameters (Å, degrees): 6.3684 6.3684 6.3684 50.07 50.07 50.07
Element x y z (fractional)
Ac 0.1164 0.1164 0.1164
Ac 0.8836 0.8836 0.8836
Nb 0.3368 0.3368 0.3368
Nb 0.6632 0.6632 0.6632
O 0.0771 0.5897 0.5897
O 0.4103 0.4103 0.9229
O 0.4103 0.9229 0.4103
O 0.5897 0.0771 0.5897
O 0.5897 0.5897 0.0771
O 0.9229 0.4103 0.4103


8.
This entry pairs a crystal structure of Ac2Ni with its simulated PXRD pattern. Radiation: Cu Kα. Structure: a crystal structure in OQMD, relaxed with PBE.
Lines closer than 0.1° are merged.

Largest 6 diffraction maxima, sorted by position, 10 to 80 degrees two-theta:
2θ/deg	d (Å)	I/Imax
25.6	3.479	30.4
27.3	3.262	100.0
28.7	3.112	35.8
35.5	2.532	20.6
36.5	2.460	18.1
44.2	2.047	32.7

Structural model:
Lattice parameters (Å, degrees): 6.9583 6.9583 4.3565 90.00 90.00 90.00
Element x y z (fractional)
Ac 0.1985 0.1985 0.0000
Ac 0.3015 0.6985 0.5000
Ac 0.6985 0.3015 0.5000
Ac 0.8015 0.8015 0.0000
Ni 0.0000 0.0000 0.5000
Ni 0.5000 0.5000 0.0000


9.
This entry pairs a crystal structure of Ac3Ni with its simulated PXRD pattern. Radiation: Cu Kα. Structure: a crystal structure in OQMD, relaxed with PBE.
Lines closer than 0.1° are merged.

Largest 6 diffraction maxima, sorted by position, 10 to 80 degrees two-theta:
2θ/deg	d (Å)	I/Imax
22.1	4.022	43.8
24.4	3.648	36.1
29.4	3.041	44.5
31.2	2.869	100.0
40.2	2.243	41.0
54.5	1.682	26.9

Structural model:
Lattice parameters (Å, degrees): 9.2894 9.2894 4.0925 90.00 90.00 120.00
Element x y z (fractional)
Ac 0.2002 0.4004 0.2500
Ac 0.2002 0.7998 0.2500
Ac 0.4004 0.2002 0.7500
Ac 0.5996 0.7998 0.2500
Ac 0.7998 0.2002 0.7500
Ac 0.7998 0.5996 0.7500
Ni 0.3333 0.6667 0.7500
Ni 0.6667 0.3333 0.2500


10.
This entry pairs a crystal structure of AcPmPO with its simulated PXRD pattern. Radiation: Cu Kα. Structure: a crystal structure in OQMD, relaxed with PBE.
Lines closer than 0.1° are merged.

Largest 6 diffraction maxima, sorted by position, 10 to 80 degrees two-theta:
2θ/deg	d (Å)	I/Imax
21.7	4.091	36.2
27.3	3.269	90.1
29.4	3.040	100.0
39.7	2.271	49.0
47.9	1.899	48.8
48.8	1.865	37.3

Structural model:
Lattice parameters (Å, degrees): 4.5419 4.5419 9.4161 90.00 90.00 90.00
Element x y z (fractional)
Ac 0.2500 0.2500 0.1167
Ac 0.7500 0.7500 0.8833
Pm 0.2500 0.7500 0.5000
Pm 0.7500 0.2500 0.5000
P 0.2500 0.2500 0.6833
P 0.7500 0.7500 0.3167
O 0.2500 0.7500 0.0000
O 0.7500 0.2500 0.0000


11.
This entry pairs a crystal structure of AcSmPO with its simulated PXRD pattern. Radiation: Cu Kα. Structure: a crystal structure in OQMD, relaxed with PBE.
Lines closer than 0.1° are merged.

Largest 6 diffraction maxima, sorted by position, 10 to 80 degrees two-theta:
2θ/deg	d (Å)	I/Imax
23.3	3.814	69.2
26.5	3.360	68.8
28.0	3.189	100.0
30.8	2.907	50.8
38.9	2.313	70.7
50.4	1.811	57.8

Structural model:
Lattice parameters (Å, degrees): 4.3027 8.2353 5.8146 90.00 90.00 90.00
Element x y z (fractional)
Ac 0.0000 0.1246 0.0000
Ac 0.0000 0.8754 0.5000
Sm 0.5000 0.3095 0.4688
Sm 0.5000 0.6905 0.9688
P 0.5000 0.3560 0.9646
P 0.5000 0.6440 0.4646
O 0.0000 0.1863 0.4316
O 0.0000 0.8137 0.9316


12.
This entry pairs a crystal structure of AcPaO4 with its simulated PXRD pattern. Radiation: Cu Kα. Structure: a crystal structure in OQMD, relaxed with PBE.
Lines closer than 0.1° are merged.

Largest 6 diffraction maxima, sorted by position, 10 to 80 degrees two-theta:
2θ/deg	d (Å)	I/Imax
27.4	3.259	100.0
27.5	3.247	32.7
31.7	2.820	49.8
45.4	1.997	33.6
45.6	1.991	32.1
53.9	1.701	47.8

Structural model:
Lattice parameters (Å, degrees): 6.8915 6.8915 6.8915 33.68 33.68 33.68
Element x y z (fractional)
Ac 0.0000 0.0000 0.0000
Pa 0.5000 0.5000 0.5000
O 0.1358 0.1358 0.1358
O 0.3870 0.3870 0.3870
O 0.6130 0.6130 0.6130
O 0.8642 0.8642 0.8642